Structure and computed PXRD pattern of Sc3B2Au (a PBE-relaxed structure; λ = 1.5418 Å (Cu Kα)).
No peak broadening, texture or thermal motion is included.

Peak list (6 most intense, 2θ from 15° to 90°, in order of rising 2θ)
hkl 0 0 4, 17.4°, I 22
hkl 1 0 0, 30.3°, I 28
hkl 1 0 2, 31.6°, I 30
hkl 1 0 4, 35.2°, I 100
hkl 1 0 8, 47.2°, I 23
hkl 1 1 8, 66.1°, I 27

Structural model:
```
Sc3B2Au
1.0
3.401 0.000 0.000
-1.701 2.945 0.000
0.000 0.000 20.374
Sc B Au
6 4 2
Direct
0.000 0.000 0.000 Sc
0.000 0.000 0.500 Sc
0.333 0.667 0.143 Sc
0.333 0.667 0.357 Sc
0.667 0.333 0.643 Sc
0.667 0.333 0.857 Sc
0.333 0.667 0.577 B
0.333 0.667 0.923 B
0.667 0.333 0.077 B
0.667 0.333 0.423 B
0.000 0.000 0.250 Au
0.000 0.000 0.750 Au
```